Record 1
Starting from the GGA-PBE geometry in OQMD, the PXRD pattern of Dy3TaO7 was calculated for Cu Kα.

Top 10 peaks for 2θ = 10–90°, by intensity:
2theta, I/Imax
29.4, 100
49.1, 36
34.1, 24
58.2, 14
58.1, 12
58.4, 12
34.2, 11
79.5, 7
48.9, 6
82.0, 6

Structural model:
```
data_Dy3TaO7
_cell_length_a 6.4284
_cell_length_b 6.4284
_cell_length_c 7.4313
_cell_angle_alpha 90.00
_cell_angle_beta 90.00
_cell_angle_gamma 109.09
_symmetry_space_group_name_H-M 'P 1'
_symmetry_Int_Tables_number 1
_symmetry_space_group_name_Hall 'P 1'
loop_
_atom_site_label
_atom_site_type_symbol
_atom_site_fract_x
_atom_site_fract_y
_atom_site_fract_z
Dy1 Dy 0.0279 0.0279 0.0000
Dy2 Dy 0.0358 0.4997 0.7430
Dy3 Dy 0.4997 0.0358 0.2570
Dy4 Dy 0.5003 0.9642 0.7570
Dy5 Dy 0.9642 0.5003 0.2430
Dy6 Dy 0.9721 0.9721 0.5000
Ta1 Ta 0.4978 0.4978 0.5000
Ta2 Ta 0.5022 0.5022 0.0000
O1 O 0.1296 0.8704 0.2500
O2 O 0.1379 0.8621 0.7500
O3 O 0.1718 0.4181 0.0264
O4 O 0.1867 0.4425 0.4582
O5 O 0.4181 0.1718 0.9736
O6 O 0.4312 0.5688 0.7500
O7 O 0.4425 0.1867 0.5418
O8 O 0.5575 0.8133 0.0418
O9 O 0.5688 0.4312 0.2500
O10 O 0.5819 0.8282 0.4736
O11 O 0.8133 0.5575 0.9582
O12 O 0.8282 0.5819 0.5264
O13 O 0.8621 0.1379 0.2500
O14 O 0.8704 0.1296 0.7500
```

=====

Record 2
Starting from the GGA-PBE geometry in OQMD, the PXRD pattern of SrZnF4 was calculated for Cu Kα.

Top 10 peaks for 2θ = 10–90°, by intensity:
2theta, I/Imax
28.4, 100
47.5, 41
55.5, 29
46.6, 19
32.5, 14
57.1, 13
76.7, 11
87.2, 8
58.8, 8
75.3, 6

Structural model:
```
data_SrZnF4
_cell_length_a 6.5889
_cell_length_b 6.5889
_cell_length_c 6.5889
_cell_angle_alpha 130.57
_cell_angle_beta 130.57
_cell_angle_gamma 72.50
_symmetry_space_group_name_H-M 'P 1'
_symmetry_Int_Tables_number 1
_symmetry_space_group_name_Hall 'P 1'
loop_
_atom_site_label
_atom_site_type_symbol
_atom_site_fract_x
_atom_site_fract_y
_atom_site_fract_z
Sr1 Sr 0.2500 0.2500 0.0000
Sr2 Sr 0.7500 0.7500 0.0000
Zn1 Zn 0.0000 0.5000 0.5000
Zn2 Zn 0.5000 0.0000 0.5000
F1 F 0.0663 0.5663 0.8762
F2 F 0.1900 0.0663 0.5000
F3 F 0.3100 0.8100 0.8762
F4 F 0.4337 0.3100 0.5000
F5 F 0.5663 0.6900 0.5000
F6 F 0.6900 0.1900 0.1238
F7 F 0.8100 0.9337 0.5000
F8 F 0.9337 0.4337 0.1238
```

=====

Record 3
Starting from the GGA-PBE geometry in OQMD, the PXRD pattern of K2Tm2O3 was calculated for Cu Kα.

Top 10 peaks for 2θ = 10–90°, by intensity:
2theta, I/Imax
29.1, 100
20.4, 54
51.5, 35
41.6, 24
46.7, 22
60.2, 13
83.2, 13
68.3, 13
14.4, 10
35.8, 9

Structural model:
```
data_K2Tm2O3
_cell_length_a 7.5265
_cell_length_b 7.5265
_cell_length_c 7.5265
_cell_angle_alpha 109.47
_cell_angle_beta 109.47
_cell_angle_gamma 109.47
_symmetry_space_group_name_H-M 'P 1'
_symmetry_Int_Tables_number 1
_symmetry_space_group_name_Hall 'P 1'
loop_
_atom_site_label
_atom_site_type_symbol
_atom_site_fract_x
_atom_site_fract_y
_atom_site_fract_z
K1 K 0.0000 0.4836 0.5000
K2 K 0.0164 0.0164 0.0164
K3 K 0.4836 0.5000 0.0000
K4 K 0.5000 0.0000 0.4836
Tm1 Tm 0.0000 0.0315 0.5000
Tm2 Tm 0.0315 0.5000 0.0000
Tm3 Tm 0.4685 0.4685 0.4685
Tm4 Tm 0.5000 0.0000 0.0315
O1 O 0.2285 0.7500 0.9785
O2 O 0.2500 0.5215 0.2715
O3 O 0.2715 0.2500 0.5215
O4 O 0.5215 0.2715 0.2500
O5 O 0.7500 0.9785 0.2285
O6 O 0.9785 0.2285 0.7500
```

=====

Record 4
Starting from the GGA-PBE geometry in OQMD, the PXRD pattern of NdCoSn2Pd was calculated for Cu Kα.

Top 10 peaks for 2θ = 10–90°, by intensity:
2theta, I/Imax
32.9, 100
39.6, 43
67.7, 21
52.4, 15
57.3, 15
48.9, 13
45.3, 13
64.6, 11
87.6, 8
61.6, 8

Structural model:
```
data_NdCoSn2Pd
_cell_length_a 4.5487
_cell_length_b 4.5487
_cell_length_c 10.2186
_cell_angle_alpha 90.00
_cell_angle_beta 90.00
_cell_angle_gamma 90.00
_symmetry_space_group_name_H-M 'P 1'
_symmetry_Int_Tables_number 1
_symmetry_space_group_name_Hall 'P 1'
loop_
_atom_site_label
_atom_site_type_symbol
_atom_site_fract_x
_atom_site_fract_y
_atom_site_fract_z
Nd1 Nd 0.2500 0.2500 0.2484
Nd2 Nd 0.7500 0.7500 0.7516
Co1 Co 0.2500 0.2500 0.8819
Co2 Co 0.7500 0.7500 0.1181
Sn1 Sn 0.2500 0.2500 0.6420
Sn2 Sn 0.2500 0.7500 0.0000
Sn3 Sn 0.7500 0.2500 0.0000
Sn4 Sn 0.7500 0.7500 0.3580
Pd1 Pd 0.2500 0.7500 0.5000
Pd2 Pd 0.7500 0.2500 0.5000
```

=====

Record 5
Starting from the GGA-PBE geometry in OQMD, the PXRD pattern of GdAgPbSe3 was calculated for Cu Kα.

Top 10 peaks for 2θ = 10–90°, by intensity:
2theta, I/Imax
29.9, 100
30.3, 31
41.5, 29
26.4, 25
44.0, 24
29.7, 23
42.9, 23
62.1, 18
36.4, 17
36.8, 16

Structural model:
```
data_GdAgPbSe3
_cell_length_a 9.3271
_cell_length_b 9.3271
_cell_length_c 8.6910
_cell_angle_alpha 102.82
_cell_angle_beta 102.82
_cell_angle_gamma 25.50
_symmetry_space_group_name_H-M 'P 1'
_symmetry_Int_Tables_number 1
_symmetry_space_group_name_Hall 'P 1'
loop_
_atom_site_label
_atom_site_type_symbol
_atom_site_fract_x
_atom_site_fract_y
_atom_site_fract_z
Gd1 Gd 0.1644 0.1644 0.0893
Gd2 Gd 0.8356 0.8356 0.9107
Ag1 Ag 0.4700 0.4700 0.7870
Ag2 Ag 0.5300 0.5300 0.2130
Pb1 Pb 0.1322 0.1322 0.5735
Pb2 Pb 0.8678 0.8678 0.4265
Se1 Se 0.0000 0.0000 0.0000
Se2 Se 0.3165 0.3165 0.6700
Se3 Se 0.3286 0.3286 0.1434
Se4 Se 0.5000 0.5000 0.5000
Se5 Se 0.6714 0.6714 0.8566
Se6 Se 0.6835 0.6835 0.3300
```

=====

Record 6
Starting from the GGA-PBE geometry in OQMD, the PXRD pattern of K2Hg2S3 was calculated for Cu Kα.

Top 10 peaks for 2θ = 10–90°, by intensity:
2theta, I/Imax
32.3, 100
38.5, 99
53.4, 52
20.3, 48
14.3, 46
24.9, 30
28.8, 29
57.7, 23
69.6, 21
51.1, 19

Structural model:
```
data_K2Hg2S3
_cell_length_a 7.5823
_cell_length_b 7.5823
_cell_length_c 7.5823
_cell_angle_alpha 109.47
_cell_angle_beta 109.47
_cell_angle_gamma 109.47
_symmetry_space_group_name_H-M 'P 1'
_symmetry_Int_Tables_number 1
_symmetry_space_group_name_Hall 'P 1'
loop_
_atom_site_label
_atom_site_type_symbol
_atom_site_fract_x
_atom_site_fract_y
_atom_site_fract_z
K1 K 0.0000 0.3369 0.5000
K2 K 0.1631 0.1631 0.1631
K3 K 0.3369 0.5000 0.0000
K4 K 0.5000 0.0000 0.3369
Hg1 Hg 0.0000 0.8780 0.5000
Hg2 Hg 0.5000 0.0000 0.8780
Hg3 Hg 0.6220 0.6220 0.6220
Hg4 Hg 0.8780 0.5000 0.0000
S1 S 0.1011 0.7500 0.8511
S2 S 0.2500 0.6489 0.3989
S3 S 0.3989 0.2500 0.6489
S4 S 0.6489 0.3989 0.2500
S5 S 0.7500 0.8511 0.1011
S6 S 0.8511 0.1011 0.7500
```

=====

Record 7
Starting from the GGA-PBE geometry in OQMD, the PXRD pattern of TmMgCuS3 was calculated for Cu Kα.

Top 10 peaks for 2θ = 10–90°, by intensity:
2theta, I/Imax
14.7, 100
37.6, 80
30.9, 59
48.5, 30
38.4, 24
35.2, 21
22.8, 20
62.3, 18
46.7, 17
33.0, 15

Structural model:
```
data_TmMgCuS3
_cell_length_a 6.3071
_cell_length_b 6.3071
_cell_length_c 10.1908
_cell_angle_alpha 90.00
_cell_angle_beta 90.00
_cell_angle_gamma 146.13
_symmetry_space_group_name_H-M 'P 1'
_symmetry_Int_Tables_number 1
_symmetry_space_group_name_Hall 'P 1'
loop_
_atom_site_label
_atom_site_type_symbol
_atom_site_fract_x
_atom_site_fract_y
_atom_site_fract_z
Tm1 Tm 0.0000 0.0000 0.0000
Tm2 Tm 0.0000 0.0000 0.5000
Mg1 Mg 0.2362 0.7638 0.7500
Mg2 Mg 0.7638 0.2362 0.2500
Cu1 Cu 0.4796 0.5204 0.2500
Cu2 Cu 0.5204 0.4796 0.7500
S1 S 0.1012 0.8988 0.2500
S2 S 0.3542 0.6458 0.0805
S3 S 0.3542 0.6458 0.4195
S4 S 0.6458 0.3542 0.5805
S5 S 0.6458 0.3542 0.9195
S6 S 0.8988 0.1012 0.7500
```

=====

Record 8
Starting from the GGA-PBE geometry in OQMD, the PXRD pattern of Tb2Sm3Bi3 was calculated for Cu Kα.

Top 10 peaks for 2θ = 10–90°, by intensity:
2theta, I/Imax
32.5, 100
33.8, 77
33.4, 52
52.0, 32
29.4, 24
27.6, 23
42.9, 21
64.7, 21
48.2, 18
67.7, 14

Structural model:
```
data_Tb2Sm3Bi3
_cell_length_a 9.2939
_cell_length_b 9.2939
_cell_length_c 6.4651
_cell_angle_alpha 90.00
_cell_angle_beta 90.00
_cell_angle_gamma 120.00
_symmetry_space_group_name_H-M 'P 1'
_symmetry_Int_Tables_number 1
_symmetry_space_group_name_Hall 'P 1'
loop_
_atom_site_label
_atom_site_type_symbol
_atom_site_fract_x
_atom_site_fract_y
_atom_site_fract_z
Tb1 Tb 0.3333 0.6667 0.0000
Tb2 Tb 0.3333 0.6667 0.5000
Tb3 Tb 0.6667 0.3333 0.0000
Tb4 Tb 0.6667 0.3333 0.5000
Sm1 Sm 0.0000 0.2454 0.2500
Sm2 Sm 0.0000 0.7546 0.7500
Sm3 Sm 0.2454 0.0000 0.2500
Sm4 Sm 0.2454 0.2454 0.7500
Sm5 Sm 0.7546 0.0000 0.7500
Sm6 Sm 0.7546 0.7546 0.2500
Bi1 Bi 0.0000 0.3908 0.7500
Bi2 Bi 0.0000 0.6092 0.2500
Bi3 Bi 0.3908 0.0000 0.7500
Bi4 Bi 0.3908 0.3908 0.2500
Bi5 Bi 0.6092 0.0000 0.2500
Bi6 Bi 0.6092 0.6092 0.7500
```

=====

Record 9
Starting from the GGA-PBE geometry in OQMD, the PXRD pattern of SrDyAuSe3 was calculated for Cu Kα.

Top 10 peaks for 2θ = 10–90°, by intensity:
2theta, I/Imax
12.6, 100
31.8, 82
35.2, 46
27.4, 39
35.0, 35
44.1, 32
31.3, 23
44.8, 22
40.2, 20
42.8, 19

Structural model:
```
data_SrDyAuSe3
_cell_length_a 8.0354
_cell_length_b 4.1080
_cell_length_c 9.8730
_cell_angle_alpha 90.00
_cell_angle_beta 105.89
_cell_angle_gamma 90.00
_symmetry_space_group_name_H-M 'P 1'
_symmetry_Int_Tables_number 1
_symmetry_space_group_name_Hall 'P 1'
loop_
_atom_site_label
_atom_site_type_symbol
_atom_site_fract_x
_atom_site_fract_y
_atom_site_fract_z
Sr1 Sr 0.2328 0.2500 0.2816
Sr2 Sr 0.7672 0.7500 0.7184
Dy1 Dy 0.3155 0.7500 0.8340
Dy2 Dy 0.6845 0.2500 0.1660
Au1 Au 0.1102 0.2500 0.5922
Au2 Au 0.8898 0.7500 0.4078
Se1 Se 0.0676 0.2500 0.8468
Se2 Se 0.2989 0.7500 0.5371
Se3 Se 0.4247 0.7500 0.1376
Se4 Se 0.5753 0.2500 0.8624
Se5 Se 0.7011 0.2500 0.4629
Se6 Se 0.9324 0.7500 0.1532
```

=====

Record 10
Starting from the GGA-PBE geometry in OQMD, the PXRD pattern of HoErInC was calculated for Cu Kα.

Top 10 peaks for 2θ = 10–90°, by intensity:
2theta, I/Imax
33.4, 100
28.8, 22
33.1, 21
62.3, 21
51.1, 21
59.3, 19
62.4, 16
44.5, 16
84.8, 14
82.1, 8

Structural model:
```
data_HoErInC
_cell_length_a 3.5743
_cell_length_b 3.5743
_cell_length_c 16.2191
_cell_angle_alpha 90.00
_cell_angle_beta 90.00
_cell_angle_gamma 120.00
_symmetry_space_group_name_H-M 'P 1'
_symmetry_Int_Tables_number 1
_symmetry_space_group_name_Hall 'P 1'
loop_
_atom_site_label
_atom_site_type_symbol
_atom_site_fract_x
_atom_site_fract_y
_atom_site_fract_z
Ho1 Ho 0.3333 0.6667 0.0830
Ho2 Ho 0.6667 0.3333 0.9170
Er1 Er 0.3333 0.6667 0.4178
Er2 Er 0.6667 0.3333 0.5822
In1 In 0.3333 0.6667 0.7492
In2 In 0.6667 0.3333 0.2508
C1 C 0.0000 0.0000 0.0000
C2 C 0.0000 0.0000 0.5000
```

=====

Record 11
Starting from the GGA-PBE geometry in OQMD, the PXRD pattern of Dy2LuAl5 was calculated for Cu Kα.

Top 10 peaks for 2θ = 10–90°, by intensity:
2theta, I/Imax
37.1, 100
24.8, 69
38.1, 31
27.2, 30
37.4, 29
33.0, 25
15.8, 21
16.3, 19
31.9, 18
67.3, 18

Structural model:
```
data_Dy2LuAl5
_cell_length_a 4.8058
_cell_length_b 6.3371
_cell_length_c 6.3371
_cell_angle_alpha 62.25
_cell_angle_beta 90.00
_cell_angle_gamma 90.00
_symmetry_space_group_name_H-M 'P 1'
_symmetry_Int_Tables_number 1
_symmetry_space_group_name_Hall 'P 1'
loop_
_atom_site_label
_atom_site_type_symbol
_atom_site_fract_x
_atom_site_fract_y
_atom_site_fract_z
Dy1 Dy 0.0000 0.0000 0.0000
Dy2 Dy 0.5000 0.3073 0.3073
Lu1 Lu 0.5000 0.8123 0.8123
Al1 Al 0.0000 0.4993 0.9563
Al2 Al 0.0000 0.5068 0.5068
Al3 Al 0.0000 0.9563 0.4993
Al4 Al 0.5000 0.3497 0.7848
Al5 Al 0.5000 0.7848 0.3497
```

=====

Record 12
Starting from the GGA-PBE geometry in OQMD, the PXRD pattern of Hg2SeO was calculated for Cu Kα.

Top 10 peaks for 2θ = 10–90°, by intensity:
2theta, I/Imax
41.0, 100
32.1, 99
20.2, 84
29.8, 80
31.0, 79
21.9, 49
37.7, 48
32.2, 43
25.4, 41
29.5, 37

Structural model:
```
data_Hg2SeO
_cell_length_a 6.2243
_cell_length_b 6.2310
_cell_length_c 11.1385
_cell_angle_alpha 90.00
_cell_angle_beta 92.57
_cell_angle_gamma 90.00
_symmetry_space_group_name_H-M 'P 1'
_symmetry_Int_Tables_number 1
_symmetry_space_group_name_Hall 'P 1'
loop_
_atom_site_label
_atom_site_type_symbol
_atom_site_fract_x
_atom_site_fract_y
_atom_site_fract_z
Hg1 Hg 0.0014 0.0000 0.0555
Hg2 Hg 0.2045 0.2688 0.4994
Hg3 Hg 0.4925 0.0028 0.9314
Hg4 Hg 0.4951 0.0205 0.2615
Hg5 Hg 0.5049 0.5205 0.7385
Hg6 Hg 0.5075 0.5028 0.0686
Hg7 Hg 0.7955 0.7688 0.5006
Hg8 Hg 0.9986 0.5000 0.9445
Se1 Se 0.2077 0.2996 0.2749
Se2 Se 0.2152 0.2402 0.7251
Se3 Se 0.7848 0.7402 0.2749
Se4 Se 0.7923 0.7996 0.7251
O1 O 0.2532 0.2504 0.0043
O2 O 0.2549 0.7524 0.0013
O3 O 0.7451 0.2524 0.9987
O4 O 0.7468 0.7504 0.9957
```